[1]
# Sr2ZnTcN4
Computed X-ray diffraction stick pattern, λ = 1.5418 Å (Cu Kα). Input: a cell relaxed with GGA-PBE.
Peak positions follow from Bragg's law for the DFT cell and can differ from measured ones.

Most intense lines, 2θ = 10–90°, sorted by position:
| 2θ (°) | I (rel.) |
| --- | --- |
| 29.03 | 31 |
| 30.77 | 35 |
| 32.69 | 100 |
| 42.81 | 29 |
| 50.74 | 10 |
| 53.82 | 21 |
| 55.94 | 22 |
| 60.53 | 9 |
| 68.51 | 13 |
| 72.02 | 9 |

Atomic structure:
a b c (Å): 5.811 7.197 6.152
angles (deg): 90.00 90.00 90.00
Sites, in units of the cell vectors:
Sr 0.250 0.001 0.237
Sr 0.250 0.499 0.237
Sr 0.750 0.501 0.763
Sr 0.750 0.999 0.763
Zn 0.250 0.250 0.776
Zn 0.750 0.750 0.224
Tc 0.250 0.750 0.797
Tc 0.750 0.250 0.203
N 0.003 0.250 0.020
N 0.250 0.526 0.648
N 0.250 0.974 0.648
N 0.497 0.250 0.020
N 0.503 0.750 0.980
N 0.750 0.026 0.352
N 0.750 0.474 0.352
N 0.997 0.750 0.980

[2]
# GaBr2F
Computed X-ray diffraction stick pattern, λ = 1.5418 Å (Cu Kα). Input: a cell relaxed with GGA-PBE.
Peak positions follow from Bragg's law for the DFT cell and can differ from measured ones.

Most intense lines, 2θ = 10–90°, sorted by position:
| 2θ (°) | I (rel.) |
| --- | --- |
| 13.14 | 99 |
| 18.60 | 40 |
| 20.97 | 64 |
| 22.22 | 65 |
| 23.84 | 38 |
| 24.03 | 26 |
| 26.79 | 100 |
| 32.26 | 30 |
| 43.36 | 25 |
| 49.67 | 27 |

Atomic structure:
a b c (Å): 7.346 4.973 16.945
angles (deg): 90.00 90.00 90.00
Sites, in units of the cell vectors:
Ga 0.250 0.000 0.172
Ga 0.250 0.500 0.328
Ga 0.750 0.000 0.828
Ga 0.750 0.500 0.672
Br 0.004 0.190 0.114
Br 0.004 0.310 0.386
Br 0.496 0.690 0.386
Br 0.496 0.810 0.114
Br 0.504 0.190 0.886
Br 0.504 0.310 0.614
Br 0.996 0.690 0.614
Br 0.996 0.810 0.886
F 0.160 0.750 0.250
F 0.340 0.250 0.250
F 0.660 0.750 0.750
F 0.840 0.250 0.750

[3]
# K2UAg2Se6
Computed X-ray diffraction stick pattern, λ = 1.5418 Å (Cu Kα). Input: a cell relaxed with GGA-PBE.
Peak positions follow from Bragg's law for the DFT cell and can differ from measured ones.

Most intense lines, 2θ = 10–90°, sorted by position:
| 2θ (°) | I (rel.) |
| --- | --- |
| 10.94 | 100 |
| 18.80 | 18 |
| 28.79 | 63 |
| 34.73 | 92 |
| 43.03 | 32 |
| 46.87 | 33 |
| 48.28 | 16 |
| 52.86 | 15 |
| 59.64 | 18 |
| 79.10 | 16 |

Atomic structure:
a b c (Å): 6.714 6.714 8.088
angles (deg): 90.00 90.00 120.00
Sites, in units of the cell vectors:
K 0.333 0.667 0.000
K 0.667 0.333 0.000
U 0.000 0.000 0.500
Ag 0.333 0.667 0.500
Ag 0.667 0.333 0.500
Se 0.000 0.319 0.296
Se 0.000 0.681 0.704
Se 0.319 0.000 0.296
Se 0.319 0.319 0.704
Se 0.681 0.000 0.704
Se 0.681 0.681 0.296

[4]
# SrRu3O9
Computed X-ray diffraction stick pattern, λ = 1.5418 Å (Cu Kα). Input: a cell relaxed with GGA-PBE.
Peak positions follow from Bragg's law for the DFT cell and can differ from measured ones.

Most intense lines, 2θ = 10–90°, sorted by position:
| 2θ (°) | I (rel.) |
| --- | --- |
| 20.25 | 39 |
| 23.81 | 70 |
| 26.69 | 100 |
| 28.50 | 64 |
| 28.92 | 38 |
| 30.64 | 38 |
| 31.45 | 70 |
| 32.69 | 46 |
| 48.73 | 34 |
| 55.42 | 31 |

Atomic structure:
a b c (Å): 5.492 7.475 8.020
angles (deg): 90.00 93.87 90.00
Sites, in units of the cell vectors:
Sr 0.037 0.250 0.439
Sr 0.963 0.750 0.561
Ru 0.000 0.000 0.000
Ru 0.000 0.500 0.000
Ru 0.468 0.002 0.696
Ru 0.468 0.498 0.696
Ru 0.532 0.502 0.304
Ru 0.532 0.998 0.304
O 0.070 0.250 0.987
O 0.166 0.553 0.791
O 0.166 0.947 0.791
O 0.284 0.537 0.475
O 0.284 0.963 0.475
O 0.301 0.536 0.124
O 0.301 0.964 0.124
O 0.381 0.250 0.686
O 0.442 0.250 0.301
O 0.558 0.750 0.699
O 0.619 0.750 0.314
O 0.699 0.036 0.876
O 0.699 0.464 0.876
O 0.716 0.037 0.525
O 0.716 0.463 0.525
O 0.834 0.053 0.209
O 0.834 0.447 0.209
O 0.930 0.750 0.013

[5]
# PmTm3Cd
Computed X-ray diffraction stick pattern, λ = 1.5418 Å (Cu Kα). Input: a cell relaxed with GGA-PBE.
Peak positions follow from Bragg's law for the DFT cell and can differ from measured ones.

Most intense lines, 2θ = 10–90°, sorted by position:
| 2θ (°) | I (rel.) |
| --- | --- |
| 31.09 | 37 |
| 32.04 | 59 |
| 32.76 | 100 |
| 33.75 | 90 |
| 43.69 | 15 |
| 50.15 | 17 |
| 56.91 | 20 |
| 58.85 | 19 |
| 60.20 | 14 |
| 60.76 | 19 |

Atomic structure:
a b c (Å): 6.712 6.712 12.488
angles (deg): 93.43 93.43 31.45
Sites, in units of the cell vectors:
Pm 0.235 0.235 0.254
Pm 0.765 0.765 0.746
Tm 0.035 0.035 0.688
Tm 0.146 0.146 0.949
Tm 0.366 0.366 0.521
Tm 0.634 0.634 0.479
Tm 0.854 0.854 0.051
Tm 0.965 0.965 0.312
Cd 0.448 0.448 0.874
Cd 0.552 0.552 0.126

[6]
# Ho7InS5
Computed X-ray diffraction stick pattern, λ = 1.5418 Å (Cu Kα). Input: a cell relaxed with GGA-PBE.
Peak positions follow from Bragg's law for the DFT cell and can differ from measured ones.

Most intense lines, 2θ = 10–90°, sorted by position:
| 2θ (°) | I (rel.) |
| --- | --- |
| 28.37 | 55 |
| 30.09 | 100 |
| 30.64 | 38 |
| 31.83 | 100 |
| 32.99 | 55 |
| 33.62 | 22 |
| 46.26 | 42 |
| 46.61 | 33 |
| 54.97 | 26 |
| 56.48 | 34 |

Atomic structure:
a b c (Å): 3.897 23.383 6.778
angles (deg): 90.00 106.66 90.00
Sites, in units of the cell vectors:
Ho 0.013 0.250 0.026
Ho 0.136 0.535 0.273
Ho 0.136 0.965 0.273
Ho 0.324 0.172 0.649
Ho 0.324 0.328 0.649
Ho 0.407 0.611 0.813
Ho 0.407 0.889 0.813
Ho 0.593 0.111 0.187
Ho 0.593 0.389 0.187
Ho 0.676 0.672 0.351
Ho 0.676 0.828 0.351
Ho 0.864 0.035 0.727
Ho 0.864 0.465 0.727
Ho 0.987 0.750 0.974
In 0.302 0.750 0.606
In 0.698 0.250 0.394
S 0.044 0.639 0.088
S 0.044 0.861 0.088
S 0.226 0.070 0.453
S 0.226 0.430 0.453
S 0.500 0.000 0.000
S 0.500 0.500 0.000
S 0.774 0.570 0.547
S 0.774 0.930 0.547
S 0.956 0.139 0.912
S 0.956 0.361 0.912

[7]
# Ce2ThTe2S2
Computed X-ray diffraction stick pattern, λ = 1.5418 Å (Cu Kα). Input: a cell relaxed with GGA-PBE.
Peak positions follow from Bragg's law for the DFT cell and can differ from measured ones.

Most intense lines, 2θ = 10–90°, sorted by position:
| 2θ (°) | I (rel.) |
| --- | --- |
| 11.01 | 15 |
| 23.76 | 100 |
| 32.59 | 100 |
| 33.86 | 58 |
| 47.70 | 69 |
| 48.63 | 21 |
| 54.82 | 22 |
| 59.77 | 18 |
| 70.49 | 22 |
| 80.54 | 15 |

Atomic structure:
a b c (Å): 5.295 5.295 16.072
angles (deg): 90.00 90.00 90.00
Sites, in units of the cell vectors:
Ce 0.000 0.000 0.112
Ce 0.000 0.000 0.888
Ce 0.500 0.500 0.388
Ce 0.500 0.500 0.612
Th 0.000 0.000 0.500
Th 0.500 0.500 0.000
Te 0.000 0.000 0.310
Te 0.000 0.000 0.690
Te 0.500 0.500 0.190
Te 0.500 0.500 0.810
S 0.000 0.500 0.000
S 0.000 0.500 0.500
S 0.500 0.000 0.000
S 0.500 0.000 0.500

[8]
# TbPm3Zn8
Computed X-ray diffraction stick pattern, λ = 1.5418 Å (Cu Kα). Input: a cell relaxed with GGA-PBE.
Peak positions follow from Bragg's law for the DFT cell and can differ from measured ones.

Most intense lines, 2θ = 10–90°, sorted by position:
| 2θ (°) | I (rel.) |
| --- | --- |
| 31.70 | 52 |
| 36.03 | 65 |
| 36.77 | 13 |
| 38.01 | 100 |
| 38.25 | 51 |
| 59.32 | 31 |
| 60.69 | 25 |
| 65.93 | 27 |
| 66.22 | 23 |
| 77.77 | 14 |

Atomic structure:
a b c (Å): 5.645 5.645 8.693
angles (deg): 90.00 90.00 120.00
Sites, in units of the cell vectors:
Tb 0.000 0.000 0.000
Pm 0.000 0.000 0.390
Pm 0.667 0.333 0.497
Pm 0.667 0.333 0.891
Zn 0.004 0.502 0.194
Zn 0.167 0.334 0.697
Zn 0.167 0.833 0.697
Zn 0.333 0.667 0.446
Zn 0.333 0.667 0.944
Zn 0.498 0.502 0.194
Zn 0.498 0.996 0.194
Zn 0.666 0.833 0.697

> Which formula does entry 8 have?

TbPm3Zn8